(1)
Diffraction record for CdBPt4. The powder diffraction line list is computed, not measured: it uses DFT lattice parameters and positions (GGA-PBE) and Cu Kα.
Kinematic intensities with the Lorentz-polarization factor, no thermal factor.

Principal peaks in the range 2θ from 10° to 90°, low angle first:
2theta  d/Å  intensity
34.7  2.587  40.4
36.5  2.464  61.3
39.0  2.307  92.8
42.4  2.132  100.0
51.2  1.784  35.6
66.2  1.412  19.2
67.3  1.391  20.3
69.7  1.349  21.2
78.0  1.225  23.4
79.8  1.202  23.4

Atomic structure:
```
CdBPt4
1.0
6.9753 -2.8174 0.0000
6.9753 2.8174 0.0000
-1.7400 0.0000 4.6114
Cd B Pt
2 2 8
direct
0.1946 0.1946 0.1942 Cd
0.8054 0.8054 0.8058 Cd
0.5000 0.5000 0.3181 B
0.5000 0.5000 0.6819 B
0.1306 0.6416 0.3861 Pt
0.2444 0.7556 0.0000 Pt
0.3062 0.3062 0.8055 Pt
0.3584 0.8694 0.6139 Pt
0.6416 0.1306 0.3861 Pt
0.6938 0.6938 0.1945 Pt
0.7556 0.2444 0.0000 Pt
0.8694 0.3584 0.6139 Pt
```

=====

(2)
Diffraction record for Cd2BPt6. The powder diffraction line list is computed, not measured: it uses DFT lattice parameters and positions (GGA-PBE) and Cu Kα.
Kinematic intensities with the Lorentz-polarization factor, no thermal factor.

Principal peaks in the range 2θ from 10° to 90°, low angle first:
2theta  d/Å  intensity
35.7  2.513  7.6
37.0  2.432  79.1
40.4  2.233  100.0
45.7  1.986  24.0
52.4  1.748  5.6
60.2  1.538  10.4
64.2  1.451  23.1
68.9  1.362  19.8
76.4  1.246  32.0
78.7  1.216  23.0

Atomic structure:
```
Cd2BPt6
1.0
5.8038 0.0000 0.0000
-2.9019 5.0262 0.0000
0.0000 0.0000 9.7266
Cd B Pt
4 2 12
direct
0.0000 0.0000 0.0000 Cd
0.0000 0.0000 0.5000 Cd
0.3333 0.6667 0.2367 Cd
0.6667 0.3333 0.7367 Cd
0.3333 0.6667 0.6137 B
0.6667 0.3333 0.1137 B
0.0072 0.5036 0.9851 Pt
0.1647 0.3294 0.7470 Pt
0.1647 0.8353 0.7470 Pt
0.3294 0.1647 0.2470 Pt
0.4964 0.5036 0.9851 Pt
0.4964 0.9928 0.9851 Pt
0.5036 0.0072 0.4851 Pt
0.5036 0.4964 0.4851 Pt
0.6706 0.8353 0.7470 Pt
0.8353 0.1647 0.2470 Pt
0.8353 0.6706 0.2470 Pt
0.9928 0.4964 0.4851 Pt
```

=====

(3)
Diffraction record for CdB5Pt8. The powder diffraction line list is computed, not measured: it uses DFT lattice parameters and positions (GGA-PBE) and Cu Kα.
Kinematic intensities with the Lorentz-polarization factor, no thermal factor.

Principal peaks in the range 2θ from 10° to 90°, low angle first:
2theta  d/Å  intensity
30.7  2.910  34.2
31.8  2.810  22.1
35.9  2.500  100.0
36.3  2.476  49.1
38.8  2.322  76.9
39.0  2.308  38.6
43.1  2.100  40.8
53.7  1.707  23.4
54.4  1.687  44.3
71.2  1.324  18.8

Atomic structure:
```
CdB5Pt8
1.0
8.7301 -1.7067 0.0000
8.7301 1.7067 0.0000
-1.9275 0.0000 6.2998
Cd B Pt
1 5 8
direct
0.0000 0.0000 0.0000 Cd
0.1598 0.1598 0.4645 B
0.1993 0.1993 0.8377 B
0.5000 0.5000 0.5000 B
0.8007 0.8007 0.1623 B
0.8402 0.8402 0.5355 B
0.0712 0.0712 0.6721 Pt
0.2599 0.2599 0.3347 Pt
0.3318 0.3318 0.9980 Pt
0.4104 0.4104 0.6666 Pt
0.5896 0.5896 0.3334 Pt
0.6682 0.6682 0.0020 Pt
0.7401 0.7401 0.6653 Pt
0.9288 0.9288 0.3279 Pt
```

=====

(4)
Diffraction record for CdB2Pt4. The powder diffraction line list is computed, not measured: it uses DFT lattice parameters and positions (GGA-PBE) and Cu Kα.
Kinematic intensities with the Lorentz-polarization factor, no thermal factor.

Principal peaks in the range 2θ from 10° to 90°, low angle first:
2theta  d/Å  intensity
25.1  3.550  26.4
35.3  2.540  100.0
36.0  2.495  52.9
38.1  2.360  15.1
41.2  2.193  29.7
46.0  1.972  13.1
48.3  1.884  21.0
48.4  1.880  9.4
49.0  1.859  8.7
68.9  1.362  13.8

Atomic structure:
```
CdB2Pt4
1.0
3.7692 -3.9431 0.0000
3.7692 3.9431 0.0000
-3.7400 0.0000 7.0171
Cd B Pt
2 4 8
direct
0.1244 0.8756 0.5000 Cd
0.8756 0.1244 0.0000 Cd
0.0069 0.5550 0.8385 B
0.4173 0.4683 0.6602 B
0.4683 0.4173 0.1602 B
0.5550 0.0069 0.3385 B
0.1980 0.7006 0.1504 Pt
0.2969 0.3009 0.3493 Pt
0.3009 0.2969 0.8493 Pt
0.3219 0.7956 0.8369 Pt
0.7006 0.1980 0.6504 Pt
0.7091 0.7359 0.1637 Pt
0.7359 0.7091 0.6637 Pt
0.7956 0.3219 0.3369 Pt
```

=====

(5)
Diffraction record for Cd3B2Pt9. The powder diffraction line list is computed, not measured: it uses DFT lattice parameters and positions (GGA-PBE) and Cu Kα.
Kinematic intensities with the Lorentz-polarization factor, no thermal factor.

Principal peaks in the range 2θ from 10° to 90°, low angle first:
2theta  d/Å  intensity
36.0  2.494  30.1
36.7  2.449  63.1
37.6  2.393  94.5
40.1  2.249  100.0
43.4  2.084  55.2
47.4  1.918  22.5
62.5  1.487  24.8
63.7  1.461  39.0
75.8  1.255  45.6
78.0  1.225  21.2

Atomic structure:
```
Cd3B2Pt9
1.0
5.8450 0.0000 0.0000
-2.9225 5.0620 0.0000
0.0000 0.0000 14.6955
Cd B Pt
6 4 18
direct
0.0000 0.0000 0.2500 Cd
0.0000 0.0000 0.7500 Cd
0.3333 0.6667 0.0823 Cd
0.3333 0.6667 0.4177 Cd
0.6667 0.3333 0.5823 Cd
0.6667 0.3333 0.9177 Cd
0.3333 0.6667 0.6591 B
0.3333 0.6667 0.8409 B
0.6667 0.3333 0.1591 B
0.6667 0.3333 0.3409 B
0.0056 0.5028 0.2500 Pt
0.1614 0.3228 0.5795 Pt
0.1614 0.3228 0.9205 Pt
0.1614 0.8386 0.5795 Pt
0.1614 0.8386 0.9205 Pt
0.3228 0.1614 0.0795 Pt
0.3228 0.1614 0.4205 Pt
0.4972 0.5028 0.2500 Pt
0.4972 0.9944 0.2500 Pt
0.5028 0.0056 0.7500 Pt
0.5028 0.4972 0.7500 Pt
0.6772 0.8386 0.5795 Pt
0.6772 0.8386 0.9205 Pt
0.8386 0.1614 0.0795 Pt
0.8386 0.1614 0.4205 Pt
0.8386 0.6772 0.0795 Pt
0.8386 0.6772 0.4205 Pt
0.9944 0.4972 0.7500 Pt
```

=====

(6)
Diffraction record for Sc2Cd2BRh4. The powder diffraction line list is computed, not measured: it uses DFT lattice parameters and positions (GGA-PBE) and Cu Kα.
Kinematic intensities with the Lorentz-polarization factor, no thermal factor.

Principal peaks in the range 2θ from 10° to 90°, low angle first:
2theta  d/Å  intensity
21.0  4.224  6.8
30.6  2.921  8.9
37.4  2.403  100.0
42.8  2.112  36.6
44.8  2.022  13.9
62.2  1.493  11.5
63.7  1.461  18.7
74.9  1.268  24.3
77.7  1.229  8.7
79.8  1.201  9.6

Atomic structure:
```
Sc2Cd2BRh4
1.0
-2.9869 2.9869 4.0438
2.9869 -2.9869 4.0438
2.9869 2.9869 -4.0438
Sc Cd B Rh
2 2 1 4
direct
0.2042 0.2042 0.0000 Sc
0.7958 0.7958 0.0000 Sc
0.2500 0.7500 0.5000 Cd
0.7500 0.2500 0.5000 Cd
0.5000 0.5000 0.0000 B
0.2557 0.2557 0.5114 Rh
0.2557 0.7443 0.0000 Rh
0.7443 0.2557 0.0000 Rh
0.7443 0.7443 0.4886 Rh
```